# Mn2HO
Calculated powder diffraction line list, Cu Kα (λ = 1.5418 Å). Input: a crystal structure in Alexandria, relaxed with GGA+U.

Top 8 peaks for 10° ≤ 2θ ≤ 80°, low angle first:
d = 2.570 Å, 2θ = 34.9°, intensity 100
d = 2.295 Å, 2θ = 39.3°, intensity 34
d = 2.193 Å, 2θ = 41.2°, intensity 58
d = 1.586 Å, 2θ = 58.2°, intensity 37
d = 1.551 Å, 2θ = 59.6°, intensity 17
d = 1.372 Å, 2θ = 68.4°, intensity 13
d = 1.328 Å, 2θ = 71.0°, intensity 23
d = 1.285 Å, 2θ = 73.7°, intensity 17

Structure:
abc: 4.3867 4.3867 9.1813
angles: 90.00 90.00 90.00
Space group I4_1/amd (No. 141, origin choice 2)
Symmetry-distinct sites (fractional):
Mn (0.0000, 0.2500, 0.1239) x8
H (0.0000, 0.2500, 0.3750) x4
O (0.0000, 0.2500, 0.8750) x4